For TiPt, a structure optimized by DFT (PBE) gives the calculated powder X-ray diffraction pattern in this record (Cu Ka).
Neutral-atom scattering factors, no anomalous dispersion.

Most intense lines, 5° ≤ 2θ ≤ 70°, low angle first:
- 28.07°, I = 46
- 40.11°, I = 100
- 49.67°, I = 14
- 58.02°, I = 17
- 65.67°, I = 19

Cell and atoms:
```
data_TiPt
_cell_length_a 3.179
_cell_length_b 3.179
_cell_length_c 3.179
_cell_angle_alpha 90.00
_cell_angle_beta 90.00
_cell_angle_gamma 90.00
_space_group_name_H-M_alt 'P m -3 m'
_space_group_IT_number 221
_space_group_name_Hall '-P 4 2 3'
loop_
_atom_site_label
_atom_site_fract_x
_atom_site_fract_y
_atom_site_fract_z
Ti1 0.000 0.000 0.000
Pt1 0.500 0.500 0.500
```